Starting from a crystal structure in OQMD, relaxed with PBE, the powder diffractogram of LiNbSeS was calculated for CuKα.
Intensities are scaled so that the largest is 100.

The 10 most intense peaks (2θ = 15–90°), in order of rising 2θ:
2θ/deg	I_rel
30.72	51.5
32.92	70.0
36.32	32.4
40.67	100.0
45.75	19.3
51.42	21.4
53.18	42.9
55.09	15.8
69.05	23.4
80.36	20.8

Structural model:
Cell lengths 3.4448, 3.4448, 13.2727 Å; angles 90.00, 90.00, 120.00 degrees
Space group P-3m1 (No. 164)
Unique sites:
Li: 0.0000 0.0000 0.0000 x1
Li: 0.0000 0.0000 0.5000 x1
Nb: 0.0000 0.0000 0.2392 x2
Se: 0.3333 0.6667 0.6324 x2
S: 0.3333 0.6667 0.8773 x2